1.
The following is a calculated powder diffractogram of Nd2Dy6Zr. It was derived from a DFT-relaxed cell (PBE, Alexandria), using Cu Ka.
Kinematic intensities with the Lorentz-polarization factor, no thermal factor.

Lattice parameters (Å, degrees): 10.1150 10.1150 10.1150 160.66 122.10 61.64
Positions (direct):
Nd (0.1642, 0.1642, 0.0000)
Nd (0.8358, 0.8358, 0.0000)
Dy (0.1578, 0.3365, 0.8212)
Dy (0.2061, 0.0000, 0.2061)
Dy (0.4847, 0.6635, 0.8212)
Dy (0.5153, 0.3365, 0.1788)
Dy (0.7939, 0.0000, 0.7939)
Dy (0.8422, 0.6635, 0.1788)
Zr (0.5000, 0.5000, 0.0000)

Peak list (12 most intense, 2θ = 5–70°, low angle first)
- 18.12°, d 4.896, intensity 10
- 27.79°, d 3.210, intensity 50
- 30.50°, d 2.931, intensity 23
- 30.88°, d 2.895, intensity 59
- 31.46°, d 2.844, intensity 97
- 35.70°, d 2.515, intensity 100
- 42.02°, d 2.150, intensity 32
- 54.01°, d 1.698, intensity 32
- 55.29°, d 1.662, intensity 19
- 58.10°, d 1.588, intensity 24
- 63.52°, d 1.465, intensity 40
- 63.82°, d 1.459, intensity 26

2.
The following is a calculated powder diffractogram of Dy2Ni7. It was derived from a DFT-relaxed cell (PBE, Alexandria), using Cu Ka.
Kinematic intensities with the Lorentz-polarization factor, no thermal factor.

Lattice parameters (Å, degrees): 4.9356 4.9356 24.1110 90.00 90.00 120.00
Positions (direct):
Dy (0.3333, 0.6667, 0.0294)
Dy (0.3333, 0.6667, 0.1741)
Dy (0.3333, 0.6667, 0.3259)
Dy (0.3333, 0.6667, 0.4706)
Dy (0.6667, 0.3333, 0.5294)
Dy (0.6667, 0.3333, 0.6741)
Dy (0.6667, 0.3333, 0.8259)
Dy (0.6667, 0.3333, 0.9706)
Ni (0.0000, 0.0000, 0.0000)
Ni (0.0000, 0.0000, 0.1676)
Ni (0.0000, 0.0000, 0.3324)
Ni (0.0000, 0.0000, 0.5000)
Ni (0.0000, 0.0000, 0.6676)
Ni (0.0000, 0.0000, 0.8324)
Ni (0.1671, 0.3342, 0.5854)
Ni (0.1668, 0.3337, 0.7500)
Ni (0.1671, 0.3342, 0.9146)
Ni (0.1671, 0.8329, 0.5854)
Ni (0.1668, 0.8332, 0.7500)
Ni (0.1671, 0.8329, 0.9146)
Ni (0.3333, 0.6667, 0.6673)
Ni (0.3333, 0.6667, 0.8327)
Ni (0.3342, 0.1671, 0.0854)
Ni (0.3337, 0.1668, 0.2500)
Ni (0.3342, 0.1671, 0.4146)
Ni (0.6658, 0.8329, 0.5854)
Ni (0.6663, 0.8332, 0.7500)
Ni (0.6658, 0.8329, 0.9146)
Ni (0.6667, 0.3333, 0.1673)
Ni (0.6667, 0.3333, 0.3327)
Ni (0.8329, 0.1671, 0.0854)
Ni (0.8332, 0.1668, 0.2500)
Ni (0.8329, 0.1671, 0.4146)
Ni (0.8329, 0.6658, 0.0854)
Ni (0.8332, 0.6663, 0.2500)
Ni (0.8329, 0.6658, 0.4146)

Peak list (12 most intense, 2θ = 5–70°, low angle first)
- 30.53°, d 2.928, intensity 10
- 33.41°, d 2.682, intensity 67
- 36.41°, d 2.467, intensity 54
- 42.29°, d 2.137, intensity 13
- 42.46°, d 2.129, intensity 32
- 43.01°, d 2.103, intensity 100
- 45.12°, d 2.009, intensity 15
- 46.51°, d 1.953, intensity 23
- 63.61°, d 1.463, intensity 22
- 65.52°, d 1.425, intensity 10
- 66.17°, d 1.412, intensity 12
- 66.78°, d 1.401, intensity 15